The following is a theoretical X-ray powder pattern of Ba2CdGa2O6. It was derived from a crystal structure in Alexandria, relaxed with GGA-PBE, using Cu Kα, 1.54184 Å.

Most intense lines, 2θ from 10° to 90°, in order of falling intensity:
2θ (°), I/Imax
29.60, 100
30.02, 92
42.66, 38
52.78, 38
52.51, 20
61.44, 18
69.88, 16
53.56, 14
54.84, 13
39.82, 13

Unit cell a=6.969 b=6.969 c=6.969 alpha=51.33 beta=51.33 gamma=51.33
Fractional coordinates of all 11 atoms:
Ba 0.208 0.208 0.208
Ba 0.792 0.792 0.792
Cd 0.000 0.000 0.000
Ga 0.418 0.418 0.418
Ga 0.582 0.582 0.582
O 0.236 0.749 0.749
O 0.251 0.251 0.764
O 0.251 0.764 0.251
O 0.749 0.236 0.749
O 0.749 0.749 0.236
O 0.764 0.251 0.251

The following is a theoretical X-ray powder pattern of Mn2Zn12Fe. It was derived from a crystal structure in Alexandria, relaxed with GGA-PBE, using Cu Kα, 1.54184 Å.

Most intense lines, 2θ from 10° to 90°, in order of falling intensity:
2θ (°), I/Imax
42.14, 100
40.96, 52
42.84, 51
44.01, 40
48.76, 27
38.19, 25
85.59, 23
34.73, 17
78.00, 15
70.40, 14

Unit cell a=2.675 b=4.222 c=19.913 alpha=90.00 beta=90.00 gamma=90.00
Fractional coordinates of all 15 atoms:
Mn 0.000 0.000 0.250
Mn 0.000 0.000 0.750
Zn 0.000 0.500 0.064
Zn 0.000 0.500 0.433
Zn 0.000 0.500 0.567
Zn 0.000 0.500 0.936
Zn 0.500 0.000 0.115
Zn 0.500 0.000 0.383
Zn 0.500 0.000 0.617
Zn 0.500 0.000 0.885
Zn 0.500 0.500 0.188
Zn 0.500 0.500 0.310
Zn 0.500 0.500 0.690
Zn 0.500 0.500 0.812
Fe 0.000 0.000 0.500

The following is a theoretical X-ray powder pattern of LiCu6OF11. It was derived from a crystal structure in Alexandria, relaxed with GGA-PBE, using Cu Kα, 1.54184 Å.

Most intense lines, 2θ from 10° to 90°, in order of falling intensity:
2θ (°), I/Imax
25.52, 100
29.34, 59
30.49, 51
28.18, 44
31.84, 37
37.87, 37
49.70, 36
33.10, 29
40.97, 20
26.13, 16

Unit cell a=4.783 b=5.240 c=9.527 alpha=92.81 beta=92.97 gamma=97.11
Fractional coordinates of all 19 atoms:
Li 0.000 0.000 0.000
Cu 0.008 0.478 0.796
Cu 0.446 0.226 0.485
Cu 0.482 0.603 0.128
Cu 0.502 0.970 0.796
Cu 0.963 0.186 0.287
Cu 0.964 0.744 0.483
O 0.186 0.980 0.385
F 0.183 0.471 0.419
F 0.196 0.312 0.108
F 0.241 0.717 0.691
F 0.250 0.219 0.743
F 0.289 0.779 0.990
F 0.683 0.426 0.265
F 0.704 0.982 0.532
F 0.726 0.485 0.575
F 0.768 0.235 0.895
F 0.770 0.903 0.156
F 0.782 0.747 0.853

The following is a theoretical X-ray powder pattern of Sm12CuNi6. It was derived from a crystal structure in Alexandria, relaxed with GGA-PBE, using Cu Kα, 1.54184 Å.

Most intense lines, 2θ from 10° to 90°, in order of falling intensity:
2θ (°), I/Imax
34.09, 100
28.69, 40
31.50, 36
54.37, 35
57.76, 33
47.09, 19
84.75, 16
67.29, 16
83.34, 15
36.53, 14

Unit cell a=8.521 b=8.521 c=8.521 alpha=109.47 beta=109.47 gamma=109.47
Fractional coordinates of all 19 atoms:
Sm 0.117 0.303 0.814
Sm 0.186 0.488 0.303
Sm 0.186 0.883 0.697
Sm 0.303 0.186 0.488
Sm 0.303 0.814 0.117
Sm 0.488 0.303 0.186
Sm 0.512 0.697 0.814
Sm 0.697 0.186 0.883
Sm 0.697 0.814 0.512
Sm 0.814 0.117 0.303
Sm 0.814 0.512 0.697
Sm 0.883 0.697 0.186
Cu 0.000 0.000 0.000
Ni 0.124 0.500 0.624
Ni 0.376 0.876 0.500
Ni 0.500 0.376 0.876
Ni 0.500 0.624 0.124
Ni 0.624 0.124 0.500
Ni 0.876 0.500 0.376

The following is a theoretical X-ray powder pattern of Al2CuOsO8. It was derived from a crystal structure in Alexandria, relaxed with GGA-PBE, using Cu Kα, 1.54184 Å.

Most intense lines, 2θ from 10° to 90°, in order of falling intensity:
2θ (°), I/Imax
19.78, 100
27.51, 62
28.71, 57
36.10, 43
36.40, 39
14.90, 37
24.97, 23
24.75, 23
45.97, 22
54.87, 21

Unit cell a=4.492 b=4.492 c=5.944 alpha=90.53 beta=90.53 gamma=87.59
Fractional coordinates of all 12 atoms:
Al 0.004 0.004 0.261
Al 0.996 0.996 0.739
Cu 0.500 0.500 0.500
Os 0.500 0.500 0.000
O 0.193 0.807 0.000
O 0.193 0.807 0.500
O 0.296 0.296 0.777
O 0.305 0.305 0.235
O 0.695 0.695 0.765
O 0.704 0.704 0.223
O 0.807 0.193 0.000
O 0.807 0.193 0.500

The following is a theoretical X-ray powder pattern of MgZrRePt2. It was derived from a crystal structure in Alexandria, relaxed with GGA-PBE, using Cu Kα, 1.54184 Å.

Most intense lines, 2θ from 10° to 90°, in order of falling intensity:
2θ (°), I/Imax
18.66, 100
37.22, 86
54.13, 59
26.30, 57
32.27, 54
41.95, 53
37.84, 41
67.52, 30
53.66, 30
46.15, 25

Unit cell a=4.831 b=4.831 c=4.755 alpha=90.00 beta=90.00 gamma=90.00
Fractional coordinates of all 5 atoms:
Mg 0.000 0.000 0.000
Zr 0.500 0.500 0.000
Re 0.000 0.000 0.500
Pt 0.000 0.500 0.500
Pt 0.500 0.000 0.500

The following is a theoretical X-ray powder pattern of Ti2HgHF. It was derived from a crystal structure in Alexandria, relaxed with GGA-PBE, using Cu Kα, 1.54184 Å.

Most intense lines, 2θ from 10° to 90°, in order of falling intensity:
2θ (°), I/Imax
21.64, 100
35.17, 95
27.39, 74
40.27, 41
33.55, 35
44.10, 33
56.53, 30
52.70, 27
61.24, 24
49.63, 22

Unit cell a=4.107 b=4.107 c=5.343 alpha=90.00 beta=90.00 gamma=90.00
Fractional coordinates of all 5 atoms:
Ti 0.000 0.500 0.000
Ti 0.500 0.000 0.000
Hg 0.000 0.000 0.500
H 0.500 0.500 0.500
F 0.000 0.000 0.000

The following is a theoretical X-ray powder pattern of Li12Mg6Tl. It was derived from a crystal structure in Alexandria, relaxed with GGA-PBE, using Cu Kα, 1.54184 Å.

Most intense lines, 2θ from 10° to 90°, in order of falling intensity:
2θ (°), I/Imax
23.10, 100
13.47, 73
18.68, 67
12.88, 62
22.06, 50
40.38, 43
27.13, 40
30.14, 35
34.06, 34
29.33, 33

Unit cell a=8.116 b=8.116 c=8.116 alpha=108.19 beta=108.19 gamma=108.19
Fractional coordinates of all 19 atoms:
Li 0.000 0.391 0.609
Li 0.000 0.609 0.391
Li 0.172 0.172 0.393
Li 0.172 0.393 0.172
Li 0.391 0.000 0.609
Li 0.391 0.609 0.000
Li 0.393 0.172 0.172
Li 0.607 0.828 0.828
Li 0.609 0.000 0.391
Li 0.609 0.391 0.000
Li 0.828 0.607 0.828
Li 0.828 0.828 0.607
Mg 0.170 0.170 0.768
Mg 0.170 0.768 0.170
Mg 0.232 0.830 0.830
Mg 0.768 0.170 0.170
Mg 0.830 0.232 0.830
Mg 0.830 0.830 0.232
Tl 0.500 0.500 0.500

The following is a theoretical X-ray powder pattern of Pm6TiSn10. It was derived from a crystal structure in Alexandria, relaxed with GGA-PBE, using Cu Kα, 1.54184 Å.

Most intense lines, 2θ from 10° to 90°, in order of falling intensity:
2θ (°), I/Imax
32.67, 100
34.54, 69
33.32, 42
29.29, 23
41.37, 23
65.04, 21
48.75, 19
53.21, 18
28.54, 15
60.73, 12

Unit cell a=9.315 b=9.315 c=6.256 alpha=90.00 beta=90.00 gamma=120.00
Fractional coordinates of all 17 atoms:
Pm 0.000 0.390 0.257
Pm 0.000 0.610 0.743
Pm 0.390 0.000 0.257
Pm 0.390 0.390 0.743
Pm 0.610 0.000 0.743
Pm 0.610 0.610 0.257
Ti 0.000 0.000 0.500
Sn 0.000 0.229 0.793
Sn 0.000 0.771 0.207
Sn 0.229 0.000 0.793
Sn 0.229 0.229 0.207
Sn 0.333 0.667 0.000
Sn 0.333 0.667 0.500
Sn 0.667 0.333 0.000
Sn 0.667 0.333 0.500
Sn 0.771 0.000 0.207
Sn 0.771 0.771 0.793

- Which formula does entry 4 have?
  Sm12CuNi6